# 1
Diffraction record for Ga3Ni5Sn2. The X-ray powder pattern is computed, not measured: it uses a cell relaxed with PBE and Cu Kα (λ = 1.5418 Å).
Lines closer than 0.1° are merged.

Most intense lines, 5 to 70 degrees two-theta, by intensity:
2theta  I (rel.)
44.4  100
44.1  50
43.5  28
32.8  23
30.7  14
65.2  13
64.0  10
31.2  8
30.0  7
42.1  7

Cell: 4.109 12.349 11.457 Å, 90.00 90.00 90.00°
Space group Cmcm (No. 63)
Asymmetric unit:
Ga 0.000 0.000 0.000 [4 per cell]
Ga 0.000 0.332 0.026 [8 per cell]
Ni 0.000 0.159 0.122 [8 per cell]
Ni 0.000 0.339 0.250 [4 per cell]
Ni 0.000 0.480 0.620 [8 per cell]
Sn 0.000 0.033 0.750 [4 per cell]
Sn 0.000 0.292 0.750 [4 per cell]

=====

# 2
Diffraction record for Ga3Ni2Sn3. The X-ray powder pattern is computed, not measured: it uses a cell relaxed with PBE and Cu Kα (λ = 1.5418 Å).
Lines closer than 0.1° are merged.

Most intense lines, 5 to 70 degrees two-theta, by intensity:
2theta  I (rel.)
34.6  100
33.2  71
41.2  47
36.7  40
48.8  38
40.8  37
44.8  30
44.7  27
38.1  26
30.1  23

Cell: 5.557 3.730 7.405 Å, 90.00 103.30 90.00°
Space group Pm (No. 6)
Asymmetric unit:
Ga 0.000 0.000 0.000 [1 per cell]
Ga 0.176 0.500 0.658 [1 per cell]
Ga 0.447 0.000 0.931 [1 per cell]
Ni 0.390 0.000 0.535 [1 per cell]
Ni 0.744 0.500 0.090 [1 per cell]
Sn 0.351 0.500 0.262 [1 per cell]
Sn 0.707 0.500 0.716 [1 per cell]
Sn 0.863 0.000 0.367 [1 per cell]

=====

# 3
Diffraction record for Ga3Ni5Sn2. The X-ray powder pattern is computed, not measured: it uses a cell relaxed with PBE and Cu Kα (λ = 1.5418 Å).
Lines closer than 0.1° are merged.

Most intense lines, 5 to 70 degrees two-theta, by intensity:
2theta  I (rel.)
44.4  100
44.1  34
43.4  29
32.8  25
44.0  16
30.7  14
65.2  13
64.0  10
31.3  8
30.0  7

Cell: 4.110 12.361 11.444 Å, 90.00 90.00 90.00°
Space group Cmcm (No. 63)
Asymmetric unit:
Ga 0.000 0.000 0.000 [4 per cell]
Ga 0.000 0.331 0.026 [8 per cell]
Ni 0.000 0.159 0.122 [8 per cell]
Ni 0.000 0.338 0.250 [4 per cell]
Ni 0.000 0.480 0.620 [8 per cell]
Sn 0.000 0.034 0.750 [4 per cell]
Sn 0.000 0.292 0.750 [4 per cell]

=====

# 4
Diffraction record for GaNi2Sn5. The X-ray powder pattern is computed, not measured: it uses a cell relaxed with PBE and Cu Kα (λ = 1.5418 Å).
Lines closer than 0.1° are merged.

Most intense lines, 5 to 70 degrees two-theta, by intensity:
2theta  I (rel.)
36.4  100
35.9  49
32.8  34
30.9  31
51.1  30
41.6  20
29.4  19
65.8  18
39.7  17
58.6  15

Cell: 3.570 8.438 11.574 Å, 90.00 90.00 90.00°
Space group Amm2 (No. 38)
Asymmetric unit:
Ga 0.000 0.000 0.000 [2 per cell]
Ni 0.000 0.000 0.378 [2 per cell]
Ni 0.500 0.000 0.853 [2 per cell]
Sn 0.000 0.189 0.740 [4 per cell]
Sn 0.500 0.000 0.208 [2 per cell]
Sn 0.500 0.203 0.473 [4 per cell]

=====

# 5
Diffraction record for Sr3Ga4Ni3. The X-ray powder pattern is computed, not measured: it uses a cell relaxed with PBE and Cu Kα (λ = 1.5418 Å).
Lines closer than 0.1° are merged.

Most intense lines, 5 to 70 degrees two-theta, by intensity:
2theta  I (rel.)
36.9  100
32.5  69
29.8  47
46.2  40
29.2  36
16.1  34
34.5  31
51.4  30
57.6  24
59.7  23

Cell: 10.3963 10.3963 6.9612 Å, 90.00 90.00 120.00°
Space group R3m (No. 160, hexagonal axes)
Asymmetric unit:
Sr 0.2014 0.4027 0.0000 [9 per cell]
Ga 0.0000 0.0000 0.9883 [3 per cell]
Ga 0.1956 0.3913 0.5025 [9 per cell]
Ni 0.0833 0.1665 0.6772 [9 per cell]

=====

# 6
Diffraction record for Tb4Ga21Ni10. The X-ray powder pattern is computed, not measured: it uses a cell relaxed with PBE and Cu Kα (λ = 1.5418 Å).
Lines closer than 0.1° are merged.

Most intense lines, 5 to 70 degrees two-theta, by intensity:
2theta  I (rel.)
38.0  100
44.3  53
38.6  42
36.9  32
42.3  19
45.9  16
33.7  15
40.0  15
35.5  14
36.7  13

Cell: 20.908 4.092 15.490 Å, 90.00 125.18 90.00°
Space group C2/m (No. 12)
Asymmetric unit:
Tb 0.120 0.000 0.334 [4 per cell]
Tb 0.230 0.000 0.823 [4 per cell]
Ga 0.000 0.500 0.500 [2 per cell]
Ga 0.006 0.000 0.091 [4 per cell]
Ga 0.040 0.500 0.368 [4 per cell]
Ga 0.065 0.000 0.795 [4 per cell]
Ga 0.101 0.500 0.997 [4 per cell]
Ga 0.114 0.500 0.704 [4 per cell]
Ga 0.117 0.000 0.554 [4 per cell]
Ga 0.126 0.500 0.194 [4 per cell]
Ga 0.200 0.000 0.002 [4 per cell]
Ga 0.202 0.500 0.503 [4 per cell]
Ga 0.248 0.000 0.294 [4 per cell]
Ni 0.002 0.500 0.186 [4 per cell]
Ni 0.024 0.000 0.606 [4 per cell]
Ni 0.132 0.000 0.103 [4 per cell]
Ni 0.153 0.500 0.889 [4 per cell]
Ni 0.250 0.000 0.614 [4 per cell]

=====

# 7
Diffraction record for Tb3Ga10Ni. The X-ray powder pattern is computed, not measured: it uses a cell relaxed with PBE and Cu Kα (λ = 1.5418 Å).
Lines closer than 0.1° are merged.

Most intense lines, 5 to 70 degrees two-theta, by intensity:
2theta  I (rel.)
32.5  100
31.9  43
42.8  31
43.7  29
41.5  29
62.8  19
54.4  19
42.6  18
61.9  17
38.5  12

Cell: 4.141 4.228 15.226 Å, 90.00 90.00 90.00°
Space group Pmmm (No. 47)
Asymmetric unit:
Tb 0.000 0.000 0.000 [1 per cell]
Tb 0.000 0.500 0.250 [2 per cell]
Ga 0.000 0.000 0.415 [2 per cell]
Ga 0.500 0.000 0.156 [2 per cell]
Ga 0.500 0.000 0.313 [2 per cell]
Ga 0.500 0.500 0.080 [2 per cell]
Ga 0.500 0.500 0.413 [2 per cell]
Ni 0.000 0.500 0.500 [1 per cell]

=====

# 8
Diffraction record for TbTm2Ga3Ni3. The X-ray powder pattern is computed, not measured: it uses a cell relaxed with PBE and Cu Kα (λ = 1.5418 Å).
Lines closer than 0.1° are merged.

Most intense lines, 5 to 70 degrees two-theta, by intensity:
2theta  I (rel.)
35.1  100
38.2  81
39.3  44
48.7  21
44.8  21
64.3  20
60.3  19
29.5  17
25.4  17
54.5  12

Cell: 3.736 12.141 6.994 Å, 90.00 90.00 90.00°
Space group Amm2 (No. 38)
Asymmetric unit:
Tb 0.000 0.000 0.000 [2 per cell]
Tm 0.000 0.205 0.382 [4 per cell]
Ga 0.500 0.000 0.343 [2 per cell]
Ga 0.500 0.125 0.710 [4 per cell]
Ni 0.000 0.000 0.586 [2 per cell]
Ni 0.500 0.169 0.088 [4 per cell]